# 1
Structure and simulated powder diffractogram of EuSi2Pd2 (a GGA-PBE-relaxed structure; λ = 1.5418 Å (Cu Kα)).
Lines closer than 0.1° are merged.

Structural model:
```
data_EuSi2Pd2
_space_group_name_H-M_alt 'P 1'
_space_group_IT_number 1
_cell_length_a 5.841
_cell_length_b 5.841
_cell_length_c 5.841
_cell_angle_alpha 137.36
_cell_angle_beta 137.36
_cell_angle_gamma 61.89
loop_
_space_group_symop_operation_xyz
'x,y,z'
loop_
_atom_site_label
_atom_site_type_symbol
_atom_site_fract_x
_atom_site_fract_y
_atom_site_fract_z
Eu1 Eu 0.000 0.000 0.000
Si1 Si 0.380 0.380 0.000
Si2 Si 0.620 0.620 0.000
Pd1 Pd 0.250 0.750 0.500
Pd2 Pd 0.750 0.250 0.500
```

Top 6 peaks for 2θ = 10–80°, most intense first:
2θ = 34.8°, d = 2.576 Å, I 100
2θ = 42.6°, d = 2.124 Å, I 37
2θ = 34.2°, d = 2.626 Å, I 27
2θ = 22.7°, d = 3.911 Å, I 25
2θ = 72.9°, d = 1.297 Å, I 23
2θ = 56.8°, d = 1.620 Å, I 17

***

# 2
Structure and simulated powder diffractogram of Mg6VCr (a GGA-PBE-relaxed structure; λ = 1.5418 Å (Cu Kα)).
Lines closer than 0.1° are merged.

Structural model:
```
data_Mg6VCr
_space_group_name_H-M_alt 'P 1'
_space_group_IT_number 1
_cell_length_a 4.996
_cell_length_b 6.171
_cell_length_c 6.171
_cell_angle_alpha 60.29
_cell_angle_beta 90.00
_cell_angle_gamma 90.00
loop_
_space_group_symop_operation_xyz
'x,y,z'
loop_
_atom_site_label
_atom_site_type_symbol
_atom_site_fract_x
_atom_site_fract_y
_atom_site_fract_z
Mg1 Mg 0.000 0.000 0.000
Mg2 Mg 0.000 0.508 0.988
Mg3 Mg 0.000 0.988 0.508
Mg4 Mg 0.500 0.169 0.169
Mg5 Mg 0.500 0.179 0.661
Mg6 Mg 0.500 0.661 0.179
V1 V 0.500 0.670 0.670
Cr1 Cr 0.000 0.501 0.501
```

Top 6 peaks for 2θ = 10–80°, most intense first:
2θ = 38.1°, d = 2.361 Å, I 100
2θ = 38.2°, d = 2.354 Å, I 46
2θ = 36.0°, d = 2.498 Å, I 39
2θ = 66.1°, d = 1.414 Å, I 26
2θ = 16.6°, d = 5.356 Å, I 23
2θ = 33.4°, d = 2.680 Å, I 22

***

# 3
Structure and simulated powder diffractogram of TbB3O6 (a GGA-PBE-relaxed structure; λ = 1.5418 Å (Cu Kα)).
Lines closer than 0.1° are merged.

Structural model:
```
data_TbB3O6
_space_group_name_H-M_alt 'P 1'
_space_group_IT_number 1
_cell_length_a 8.341
_cell_length_b 6.163
_cell_length_c 7.814
_cell_angle_alpha 90.00
_cell_angle_beta 90.00
_cell_angle_gamma 90.00
loop_
_space_group_symop_operation_xyz
'x,y,z'
loop_
_atom_site_label
_atom_site_type_symbol
_atom_site_fract_x
_atom_site_fract_y
_atom_site_fract_z
Tb1 Tb 0.000 0.009 0.250
Tb2 Tb 0.000 0.991 0.750
Tb3 Tb 0.500 0.491 0.750
Tb4 Tb 0.500 0.509 0.250
B1 B 0.000 0.489 0.750
B2 B 0.000 0.511 0.250
B3 B 0.184 0.383 0.506
B4 B 0.184 0.617 0.006
B5 B 0.316 0.117 0.006
B6 B 0.316 0.883 0.506
B7 B 0.500 0.011 0.250
B8 B 0.500 0.989 0.750
B9 B 0.684 0.117 0.494
B10 B 0.684 0.883 0.994
B11 B 0.816 0.383 0.994
B12 B 0.816 0.617 0.494
O1 O 0.080 0.358 0.366
O2 O 0.080 0.642 0.866
O3 O 0.117 0.340 0.667
O4 O 0.117 0.660 0.167
O5 O 0.163 0.058 0.992
O6 O 0.163 0.942 0.492
O7 O 0.337 0.442 0.492
O8 O 0.337 0.558 0.992
O9 O 0.383 0.160 0.167
O10 O 0.383 0.840 0.667
O11 O 0.420 0.142 0.866
O12 O 0.420 0.858 0.366
O13 O 0.580 0.142 0.634
O14 O 0.580 0.858 0.134
O15 O 0.617 0.160 0.333
O16 O 0.617 0.840 0.833
O17 O 0.663 0.442 0.008
O18 O 0.663 0.558 0.508
O19 O 0.837 0.058 0.508
O20 O 0.837 0.942 0.008
O21 O 0.883 0.340 0.833
O22 O 0.883 0.660 0.333
O23 O 0.920 0.358 0.134
O24 O 0.920 0.642 0.634
```

Top 6 peaks for 2θ = 10–80°, most intense first:
2θ = 17.9°, d = 4.957 Å, I 100
2θ = 29.1°, d = 3.068 Å, I 66
2θ = 31.4°, d = 2.851 Å, I 65
2θ = 21.3°, d = 4.171 Å, I 57
2θ = 42.5°, d = 2.126 Å, I 44
2θ = 43.2°, d = 2.093 Å, I 42

***

# 4
Structure and simulated powder diffractogram of KNdO2 (a GGA-PBE-relaxed structure; λ = 1.5418 Å (Cu Kα)).
Lines closer than 0.1° are merged.

Structural model:
```
data_KNdO2
_space_group_name_H-M_alt 'P 1'
_space_group_IT_number 1
_cell_length_a 3.638
_cell_length_b 3.638
_cell_length_c 12.693
_cell_angle_alpha 90.00
_cell_angle_beta 90.00
_cell_angle_gamma 120.00
loop_
_space_group_symop_operation_xyz
'x,y,z'
loop_
_atom_site_label
_atom_site_type_symbol
_atom_site_fract_x
_atom_site_fract_y
_atom_site_fract_z
K1 K 0.333 0.667 0.250
K2 K 0.667 0.333 0.750
Nd1 Nd 0.000 0.000 0.000
Nd2 Nd 0.000 0.000 0.500
O1 O 0.333 0.667 0.595
O2 O 0.333 0.667 0.905
O3 O 0.667 0.333 0.095
O4 O 0.667 0.333 0.405
```

Top 6 peaks for 2θ = 10–80°, most intense first:
2θ = 31.7°, d = 2.822 Å, I 100
2θ = 14.0°, d = 6.347 Å, I 62
2θ = 40.3°, d = 2.236 Å, I 38
2θ = 52.1°, d = 1.756 Å, I 30
2θ = 28.3°, d = 3.151 Å, I 30
2θ = 50.2°, d = 1.819 Å, I 25